[1]
Simulated powder diffractogram of Ba4Ge23 for copper Kα, from a GGA-PBE-relaxed structure.
Lines closer than 0.1° are merged.

Crystal structure
Cell lengths 11.1500, 11.1500, 11.1500 Å; angles 90.00, 90.00, 90.00 degrees
Fractional coordinates of all 54 atoms:
Ba 0.0000 0.0000 0.0000
Ba 0.0000 0.2500 0.5000
Ba 0.0000 0.7500 0.5000
Ba 0.2500 0.5000 0.0000
Ba 0.5000 0.0000 0.2500
Ba 0.5000 0.0000 0.7500
Ba 0.5000 0.5000 0.5000
Ba 0.7500 0.5000 0.0000
Ge 0.0000 0.3070 0.1187
Ge 0.0000 0.3070 0.8813
Ge 0.0000 0.5000 0.2500
Ge 0.0000 0.5000 0.7500
Ge 0.0000 0.6930 0.1187
Ge 0.0000 0.6930 0.8813
Ge 0.1187 0.0000 0.3070
Ge 0.1187 0.0000 0.6930
Ge 0.1845 0.1845 0.1845
Ge 0.1845 0.1845 0.8155
Ge 0.1845 0.8155 0.1845
Ge 0.1845 0.8155 0.8155
Ge 0.1930 0.5000 0.3813
Ge 0.1930 0.5000 0.6187
Ge 0.2500 0.0000 0.5000
Ge 0.3070 0.1187 0.0000
Ge 0.3070 0.8813 0.0000
Ge 0.3155 0.3155 0.3155
Ge 0.3155 0.3155 0.6845
Ge 0.3155 0.6845 0.3155
Ge 0.3155 0.6845 0.6845
Ge 0.3813 0.1930 0.5000
Ge 0.3813 0.8070 0.5000
Ge 0.5000 0.2500 0.0000
Ge 0.5000 0.3813 0.1930
Ge 0.5000 0.3813 0.8070
Ge 0.5000 0.6187 0.1930
Ge 0.5000 0.6187 0.8070
Ge 0.5000 0.7500 0.0000
Ge 0.6187 0.1930 0.5000
Ge 0.6187 0.8070 0.5000
Ge 0.6845 0.3155 0.3155
Ge 0.6845 0.3155 0.6845
Ge 0.6845 0.6845 0.3155
Ge 0.6845 0.6845 0.6845
Ge 0.6930 0.1187 0.0000
Ge 0.6930 0.8813 0.0000
Ge 0.7500 0.0000 0.5000
Ge 0.8070 0.5000 0.3813
Ge 0.8070 0.5000 0.6187
Ge 0.8155 0.1845 0.1845
Ge 0.8155 0.1845 0.8155
Ge 0.8155 0.8155 0.1845
Ge 0.8155 0.8155 0.8155
Ge 0.8813 0.0000 0.3070
Ge 0.8813 0.0000 0.6930

Top 12 peaks for 2θ from 10° to 80°, low angle first:
h k l, d_spacing, intensity
2 2 2, 3.219, 29
3 2 0, 3.092, 40
3 2 1, 2.980, 100
4 0 0, 2.788, 16
4 1 0, 2.704, 14
5 3 0, 1.912, 37
5 3 1, 1.885, 12
6 0 0, 1.858, 21
5 3 2, 1.809, 48
6 3 3, 1.517, 9
6 5 1, 1.416, 8
6 5 5, 1.202, 10

---

[2]
Simulated powder diffractogram of TlCo2S2 for copper Kα, from a GGA-PBE-relaxed structure.
Lines closer than 0.1° are merged.

Crystal structure
Cell lengths 3.7324, 3.7324, 13.1103 Å; angles 90.00, 90.00, 90.00 degrees
Fractional coordinates of all 10 atoms:
Tl 0.0000 0.0000 0.0000
Tl 0.5000 0.5000 0.5000
Co 0.0000 0.5000 0.2500
Co 0.0000 0.5000 0.7500
Co 0.5000 0.0000 0.2500
Co 0.5000 0.0000 0.7500
S 0.0000 0.0000 0.3406
S 0.0000 0.0000 0.6594
S 0.5000 0.5000 0.1594
S 0.5000 0.5000 0.8406

Top 12 peaks for 2θ from 10° to 80°, low angle first:
h k l, d_spacing, intensity
1 0 1, 3.590, 67
0 0 4, 3.278, 41
1 0 3, 2.838, 100
1 1 0, 2.639, 11
1 1 2, 2.448, 83
1 0 5, 2.146, 21
2 0 0, 1.866, 31
1 1 6, 1.683, 44
2 1 1, 1.656, 16
2 0 4, 1.622, 21
2 1 3, 1.559, 32
2 1 5, 1.408, 11

---

[3]
Simulated powder diffractogram of Zr for copper Kα, from a GGA-PBE-relaxed structure.
Lines closer than 0.1° are merged.

Crystal structure
Cell lengths 3.2392, 3.2392, 5.1722 Å; angles 90.00, 90.00, 120.00 degrees
Fractional coordinates of all 2 atoms:
Zr 0.3333 0.6667 0.2500
Zr 0.6667 0.3333 0.7500

Top 11 peaks for 2θ from 10° to 80°, low angle first:
h k l, d_spacing, intensity
1 0 0, 2.805, 24
0 0 2, 2.586, 26
1 0 1, 2.466, 100
1 0 2, 1.901, 15
1 1 0, 1.620, 18
1 0 3, 1.469, 19
2 0 0, 1.403, 3
1 1 2, 1.373, 20
2 0 1, 1.354, 14
0 0 4, 1.293, 3
2 0 2, 1.233, 3

---

[4]
Simulated powder diffractogram of LuRu2 for copper Kα, from a GGA-PBE-relaxed structure.
Lines closer than 0.1° are merged.

Crystal structure
Cell lengths 5.2326, 5.2326, 8.8131 Å; angles 90.00, 90.00, 120.00 degrees
Fractional coordinates of all 12 atoms:
Lu 0.3333 0.6667 0.0668
Lu 0.3333 0.6667 0.4332
Lu 0.6667 0.3333 0.5668
Lu 0.6667 0.3333 0.9332
Ru 0.0000 0.0000 0.0000
Ru 0.0000 0.0000 0.5000
Ru 0.1716 0.3432 0.7500
Ru 0.1716 0.8284 0.7500
Ru 0.3432 0.1716 0.2500
Ru 0.6568 0.8284 0.7500
Ru 0.8284 0.1716 0.2500
Ru 0.8284 0.6568 0.2500

Top 12 peaks for 2θ from 10° to 80°, low angle first:
h k l, d_spacing, intensity
1 1 0, 2.616, 49
1 0 3, 2.465, 99
2 0 0, 2.266, 13
1 1 2, 2.250, 100
0 0 4, 2.203, 12
2 0 1, 2.194, 74
1 0 4, 1.981, 9
2 1 3, 1.480, 37
3 0 2, 1.429, 24
2 0 5, 1.391, 31
2 2 0, 1.308, 26
2 0 6, 1.233, 12